Record 1
For Sm3MgBiRu4O14, a structure optimized by DFT (PBE) gives the computed powder XRD pattern in this record (Cu Kα (λ = 1.5418 Å)).
Lines closer than 0.1° are merged.

Cell and atoms:
```
23
Lattice="3.765 2.174 6.016 -3.765 2.174 6.016 0.000 -4.348 6.016" Properties=species:S:1:pos:R:3 pbc="T T T"
Sm 0.000 -2.063 6.016
Sm -1.787 1.031 6.016
Sm 1.787 1.031 6.016
Mg 0.000 0.000 16.031
Bi 0.000 0.000 2.884
Ru -1.783 -1.030 8.812
Ru 1.783 -1.030 8.812
Ru 0.000 2.059 8.812
Ru 0.000 0.000 11.721
O 0.000 0.000 0.014
O 0.000 0.000 5.036
O 0.000 -1.794 8.346
O -1.554 0.897 8.346
O -1.487 -0.858 10.754
O 0.000 -1.891 12.782
O -1.638 0.946 12.782
O -1.616 -0.933 15.388
O 1.487 -0.858 10.754
O 0.000 1.717 10.754
O 1.554 0.897 8.346
O 1.616 -0.933 15.388
O 0.000 1.866 15.388
O 1.638 0.946 12.782
```

Main lines, most intense first (2θ = 5–70°):
Position (°2θ), intensity
29.1, 100
33.9, 49
48.3, 35
29.7, 32
49.1, 29
57.8, 28
57.4, 14
58.4, 12
60.4, 11
14.4, 8

***

Record 2
For K2SnTeO, a structure optimized by DFT (PBE) gives the computed powder XRD pattern in this record (Cu Kα (λ = 1.5418 Å)).
Lines closer than 0.1° are merged.

Cell and atoms:
```
10
Lattice="7.793 0.000 0.000 0.000 4.368 0.000 -2.647 0.000 9.246" Properties=species:S:1:pos:R:3 pbc="T T T"
K -0.140 1.092 3.852
K -0.372 1.092 7.952
K 5.518 3.276 1.295
K 5.286 3.276 5.395
Sn 2.004 3.276 5.873
Sn 3.142 1.092 3.373
Te 1.954 3.276 1.569
Te 3.192 1.092 7.678
O -0.008 3.276 6.036
O 5.154 1.092 3.210
```

Main lines, most intense first (2θ = 5–70°):
Position (°2θ), intensity
28.1, 100
11.8, 55
30.9, 29
32.6, 25
32.1, 24
23.0, 21
41.3, 19
34.9, 19
13.0, 18
53.1, 18

***

Record 3
For MnTl5S5, a structure optimized by DFT (PBE) gives the computed powder XRD pattern in this record (Cu Kα (λ = 1.5418 Å)).
Lines closer than 0.1° are merged.

Cell and atoms:
```
11
Lattice="6.736 -3.019 0.000 6.736 3.019 0.000 -2.274 0.000 7.186" Properties=species:S:1:pos:R:3 pbc="T T T"
Mn 0.000 0.000 0.000
Tl -1.137 0.000 3.593
Tl 2.697 0.000 4.930
Tl 4.244 0.000 1.525
Tl 6.954 0.000 5.662
Tl 8.500 0.000 2.256
S 0.951 0.000 2.095
S -0.078 0.000 6.362
S 6.736 0.000 0.000
S 11.275 0.000 0.824
S 10.247 0.000 5.091
```

Main lines, most intense first (2θ = 5–70°):
Position (°2θ), intensity
25.5, 100
27.9, 74
29.6, 69
31.3, 46
32.0, 42
31.1, 39
43.6, 38
44.1, 37
51.5, 20
50.1, 19

***

Record 4
For PPtO3, a structure optimized by DFT (PBE) gives the computed powder XRD pattern in this record (Cu Kα (λ = 1.5418 Å)).
Lines closer than 0.1° are merged.

Cell and atoms:
```
5
Lattice="3.620 0.000 0.000 0.000 3.620 0.000 0.000 0.000 3.620" Properties=species:S:1:pos:R:3 pbc="T T T"
P 0.000 0.000 0.000
Pt 1.810 1.810 1.810
O 0.000 0.000 1.810
O 0.000 1.810 0.000
O 1.810 0.000 0.000
```

Main lines, most intense first (2θ = 5–70°):
Position (°2θ), intensity
35.1, 100
24.6, 58
43.3, 38
62.9, 38
50.4, 30
56.9, 27

***

Record 5
For PrH8W2, a structure optimized by DFT (PBE) gives the computed powder XRD pattern in this record (Cu Kα (λ = 1.5418 Å)).
Lines closer than 0.1° are merged.

Cell and atoms:
```
11
Lattice="4.658 0.000 0.000 0.050 4.858 0.000 0.025 2.425 4.267" Properties=species:S:1:pos:R:3 pbc="T T T"
Pr 0.000 0.000 0.000
H 1.192 3.315 2.352
H 1.217 5.743 1.917
H 1.406 2.929 0.003
H 2.430 0.967 0.001
H 3.114 6.319 2.964
H 3.098 3.887 1.312
H 4.120 2.015 1.251
H 4.145 4.449 3.026
W 2.369 2.197 1.406
W 2.393 4.625 2.865
```

Main lines, most intense first (2θ = 5–70°):
Position (°2θ), intensity
28.4, 100
36.6, 63
28.7, 50
19.1, 32
37.0, 29
38.7, 27
54.1, 21
54.4, 21
41.7, 15
46.8, 15

***

Record 6
For Pm3NdPb2, a structure optimized by DFT (PBE) gives the computed powder XRD pattern in this record (Cu Kα (λ = 1.5418 Å)).
Lines closer than 0.1° are merged.

Cell and atoms:
```
6
Lattice="4.662 0.000 0.000 0.000 4.662 0.000 0.000 0.000 8.915" Properties=species:S:1:pos:R:3 pbc="T T T"
Pm 0.000 0.000 0.000
Pm 0.000 2.331 5.817
Pm 2.331 0.000 3.098
Nd 2.331 2.331 0.000
Pb 0.000 2.331 2.543
Pb 2.331 0.000 6.373
```

Main lines, most intense first (2θ = 5–70°):
Position (°2θ), intensity
33.8, 100
28.9, 79
38.6, 60
49.7, 40
30.1, 40
66.8, 28
27.0, 26
35.8, 24
55.8, 21
64.7, 18

***

Record 7
For HfPa6Nb2, a structure optimized by DFT (PBE) gives the computed powder XRD pattern in this record (Cu Kα (λ = 1.5418 Å)).
Lines closer than 0.1° are merged.

Cell and atoms:
```
9
Lattice="7.625 -4.441 0.000 7.625 4.441 0.000 -0.366 0.000 3.018" Properties=species:S:1:pos:R:3 pbc="T T T"
Hf 0.000 0.000 0.000
Pa 2.346 1.493 1.914
Pa 7.442 1.480 1.509
Pa 2.346 -1.493 1.914
Pa 12.538 1.493 1.104
Pa 7.442 -1.480 1.509
Pa 12.538 -1.493 1.104
Nb 5.115 0.000 0.050
Nb 9.769 0.000 2.968
```

Main lines, most intense first (2θ = 5–70°):
Position (°2θ), intensity
35.1, 100
35.6, 48
34.3, 30
36.0, 26
37.9, 21
63.6, 21
29.6, 12
48.7, 12
20.2, 11
30.5, 10

***

Record 8
For CaTb4Ge4, a structure optimized by DFT (PBE) gives the computed powder XRD pattern in this record (Cu Kα (λ = 1.5418 Å)).
Lines closer than 0.1° are merged.

Cell and atoms:
```
18
Lattice="9.450 0.000 0.000 0.000 9.450 0.000 0.000 0.000 5.835" Properties=species:S:1:pos:R:3 pbc="T T T"
Ca 2.363 2.363 1.459
Ca 7.088 7.088 4.376
Tb 0.979 6.022 0.781
Tb 1.297 8.471 3.699
Tb 3.428 5.705 3.699
Tb 3.746 8.154 0.781
Tb 5.705 1.297 5.054
Tb 6.022 3.746 2.136
Tb 8.154 0.979 2.136
Tb 8.471 3.428 5.054
Ge 0.453 5.634 3.755
Ge 0.909 8.998 0.837
Ge 3.816 5.178 0.837
Ge 4.273 8.541 3.755
Ge 5.178 0.909 2.081
Ge 5.634 4.273 4.998
Ge 8.541 0.453 4.998
Ge 8.998 3.816 2.081
```

Main lines, most intense first (2θ = 5–70°):
Position (°2θ), intensity
13.2, 100
29.9, 97
32.1, 86
42.2, 67
37.6, 41
26.0, 32
38.1, 30
58.2, 30
50.6, 30
30.8, 28

***

Record 9
For Dy2Tm3Zr2, a structure optimized by DFT (PBE) gives the computed powder XRD pattern in this record (Cu Kα (λ = 1.5418 Å)).
Lines closer than 0.1° are merged.

Cell and atoms:
```
14
Lattice="5.149 0.000 0.000 0.000 22.906 0.000 0.000 0.000 3.377" Properties=species:S:1:pos:R:3 pbc="T T T"
Dy 0.000 1.760 0.000
Dy 0.000 21.145 0.000
Dy 2.575 9.693 0.000
Dy 2.575 13.213 0.000
Tm 0.000 7.862 1.689
Tm 0.000 11.453 1.689
Tm 0.000 15.043 1.689
Tm 2.575 0.000 1.689
Tm 2.575 3.591 1.689
Tm 2.575 19.315 1.689
Zr 0.000 5.053 0.000
Zr 0.000 17.852 0.000
Zr 2.575 6.399 0.000
Zr 2.575 16.506 0.000
```

Main lines, most intense first (2θ = 5–70°):
Position (°2θ), intensity
31.9, 100
32.4, 93
35.5, 64
50.6, 47
34.8, 45
62.1, 29
64.7, 25
26.0, 20
60.7, 18
61.0, 15

***

Record 10
For Na5B6C4, a structure optimized by DFT (PBE) gives the computed powder XRD pattern in this record (Cu Kα (λ = 1.5418 Å)).
Lines closer than 0.1° are merged.

Cell and atoms:
```
30
Lattice="8.500 0.000 0.000 0.000 7.195 2.458 0.000 -7.195 2.458" Properties=species:S:1:pos:R:3 pbc="T T T"
Na 2.100 0.000 0.000
Na 2.102 -4.317 2.453
Na 2.102 4.317 2.453
Na 2.108 -1.444 2.457
Na 2.108 1.444 2.457
Na 6.392 -1.444 2.457
Na 6.392 1.444 2.457
Na 6.400 0.000 0.000
Na 6.398 -4.317 2.453
Na 6.398 4.317 2.453
B 0.000 -2.879 1.642
B 0.000 0.000 1.641
B 0.000 2.879 1.642
B 0.000 -1.441 4.099
B 0.000 1.441 4.099
B 4.250 -1.361 0.807
B 4.250 -2.894 1.571
B 4.250 1.361 0.807
B 4.250 -2.775 3.399
B 4.250 2.894 1.571
B 4.250 0.000 3.257
B 4.250 2.775 3.399
C 0.000 -1.440 0.823
C 0.000 1.440 0.823
C 0.000 -2.878 3.280
C 0.000 0.000 3.280
C 0.000 2.878 3.280
C 4.250 0.000 1.614
C 4.250 -1.371 4.070
C 4.250 1.371 4.070
```

Main lines, most intense first (2θ = 5–70°):
Position (°2θ), intensity
42.1, 100
42.5, 91
36.2, 19
65.5, 17
57.0, 10
64.8, 9
36.6, 8
57.3, 5
69.6, 2
20.9, 1

***

Record 11
For Sm2ErTe4, a structure optimized by DFT (PBE) gives the computed powder XRD pattern in this record (Cu Kα (λ = 1.5418 Å)).
Lines closer than 0.1° are merged.

Cell and atoms:
```
14
Lattice="16.344 0.000 0.000 0.000 4.387 0.000 -3.580 0.000 6.820" Properties=species:S:1:pos:R:3 pbc="T T T"
Sm 3.130 0.000 1.560
Sm 1.462 2.193 5.260
Sm 11.302 2.193 1.560
Sm 9.634 0.000 5.260
Er -1.790 2.193 3.410
Er 6.382 0.000 3.410
Te -1.465 2.193 6.430
Te 0.377 0.000 3.181
Te 4.215 2.193 3.639
Te 6.058 0.000 0.389
Te 6.707 0.000 6.430
Te 8.549 2.193 3.181
Te 12.387 0.000 3.639
Te 14.230 2.193 0.389
```

Main lines, most intense first (2θ = 5–70°):
Position (°2θ), intensity
26.4, 100
34.1, 68
34.2, 58
40.7, 57
41.2, 29
33.9, 28
13.0, 27
67.0, 25
54.3, 17
26.5, 16

***

Record 12
For Dy4CdInAg2, a structure optimized by DFT (PBE) gives the computed powder XRD pattern in this record (Cu Kα (λ = 1.5418 Å)).
Lines closer than 0.1° are merged.

Cell and atoms:
```
8
Lattice="2.617 1.511 8.558 -2.617 1.511 8.558 0.000 -3.022 8.558" Properties=species:S:1:pos:R:3 pbc="T T T"
Dy 0.000 0.000 3.189
Dy 0.000 0.000 9.609
Dy 0.000 0.000 16.066
Dy 0.000 0.000 22.486
Cd 0.000 0.000 0.000
In 0.000 0.000 12.838
Ag 0.000 0.000 6.449
Ag 0.000 0.000 19.227
```

Main lines, most intense first (2θ = 5–70°):
Position (°2θ), intensity
34.3, 100
61.3, 36
49.2, 18
24.0, 3
55.5, 2
42.3, 1

***

Record 13
For TlSbPb4, a structure optimized by DFT (PBE) gives the computed powder XRD pattern in this record (Cu Kα (λ = 1.5418 Å)).
Lines closer than 0.1° are merged.

Cell and atoms:
```
12
Lattice="1.751 -9.116 0.000 1.751 9.116 0.000 0.000 0.000 11.595" Properties=species:S:1:pos:R:3 pbc="T T T"
Tl 1.751 5.045 5.797
Tl 1.751 -5.045 0.000
Sb 1.751 2.930 8.656
Sb 1.751 -2.930 2.858
Pb 1.751 9.045 8.663
Pb 1.751 7.141 0.048
Pb 1.751 3.179 2.932
Pb 1.751 1.057 11.518
Pb 1.751 -1.057 5.721
Pb 1.751 -3.179 8.730
Pb 1.751 -7.141 5.845
Pb 1.751 -9.045 2.865
```

Main lines, most intense first (2θ = 5–70°):
Position (°2θ), intensity
33.3, 100
30.8, 38
30.4, 36
61.9, 31
37.7, 30
52.2, 26
56.4, 23
30.4, 16
63.3, 15
49.5, 14